Entry 1:
This entry pairs a crystal structure of Sr8Al2Ge with its theoretical X-ray diffraction stick pattern. Radiation: copper Kα. Structure: DFT lattice parameters and positions (GGA-PBE).
No peak broadening, texture or thermal motion is included.

Cell and atoms:
Cell lengths 5.5894, 9.0434, 16.4448 Å; angles 90.00, 90.00, 90.00 degrees
Space group Immm (No. 71)
Symmetry-distinct sites (fractional):
Sr (0.0000, 0.0000, 0.1418) [4 per cell]
Sr (0.0000, 0.2225, 0.3410) [8 per cell]
Sr (0.0000, 0.3126, 0.0000) [4 per cell]
Al (0.0000, 0.5000, 0.1862) [4 per cell]
Ge (0.0000, 0.5000, 0.5000) [2 per cell]

Principal peaks in the range 2θ from 10° to 80°, in order of rising 2θ:
2θ 21.6, I = 12
2θ 28.7, I = 21
2θ 30.2, I = 100
2θ 32.0, I = 24
2θ 32.7, I = 17
2θ 44.6, I = 10
2θ 46.4, I = 13
2θ 56.0, I = 15

---

Entry 2:
This entry pairs a crystal structure of SrAl3Ge3 with its theoretical X-ray diffraction stick pattern. Radiation: copper Kα. Structure: DFT lattice parameters and positions (GGA-PBE).
No peak broadening, texture or thermal motion is included.

Cell and atoms:
Cell lengths 7.0863, 7.0863, 7.0863 Å; angles 90.00, 90.00, 90.00 degrees
Space group Pm-3n (No. 223)
Symmetry-distinct sites (fractional):
Sr (0.0000, 0.0000, 0.0000) [2 per cell]
Al (0.0000, 0.2500, 0.5000) [6 per cell]
Ge (0.0000, 0.5000, 0.2500) [6 per cell]

Principal peaks in the range 2θ from 10° to 80°, in order of rising 2θ:
2θ 25.1, I = 43
2θ 28.2, I = 32
2θ 30.9, I = 100
2θ 44.3, I = 16
2θ 48.0, I = 57
2θ 51.6, I = 25
2θ 58.2, I = 16
2θ 73.1, I = 16

---

Entry 3:
This entry pairs a crystal structure of SrAlGe2 with its theoretical X-ray diffraction stick pattern. Radiation: copper Kα. Structure: DFT lattice parameters and positions (GGA-PBE).
No peak broadening, texture or thermal motion is included.

Cell and atoms:
Cell lengths 7.1704, 4.8171, 11.0672 Å; angles 90.00, 90.00, 90.00 degrees
Space group Pnma (No. 62)
Symmetry-distinct sites (fractional):
Sr (0.1399, 0.2500, 0.1331) [4 per cell]
Al (0.0234, 0.2500, 0.6395) [4 per cell]
Ge (0.1507, 0.2500, 0.4207) [4 per cell]
Ge (0.1729, 0.2500, 0.8482) [4 per cell]

Principal peaks in the range 2θ from 10° to 80°, in order of rising 2θ:
2θ 30.5, I = 18
2θ 31.1, I = 100
2θ 32.4, I = 35
2θ 33.0, I = 47
2θ 37.3, I = 41
2θ 45.2, I = 17
2θ 45.5, I = 38
2θ 50.2, I = 20

---

Entry 4:
This entry pairs a crystal structure of Sr2TaAlGe with its theoretical X-ray diffraction stick pattern. Radiation: copper Kα. Structure: DFT lattice parameters and positions (GGA-PBE).
No peak broadening, texture or thermal motion is included.

Cell and atoms:
Cell lengths 5.8481, 5.8481, 4.9633 Å; angles 90.00, 90.00, 90.00 degrees
Space group P4/mmm (No. 123)
Symmetry-distinct sites (fractional):
Sr (0.0000, 0.5000, 0.0000) [2 per cell]
Ta (0.0000, 0.0000, 0.5000) [1 per cell]
Al (0.0000, 0.0000, 0.0000) [1 per cell]
Ge (0.5000, 0.5000, 0.5000) [1 per cell]

Principal peaks in the range 2θ from 10° to 80°, in order of rising 2θ:
2θ 15.2, I = 22
2θ 28.1, I = 100
2θ 30.6, I = 52
2θ 36.2, I = 16
2θ 43.8, I = 19
2θ 48.1, I = 29
2θ 52.8, I = 35
2θ 58.1, I = 17

---

Entry 5:
This entry pairs a crystal structure of TaAlGe3 with its theoretical X-ray diffraction stick pattern. Radiation: copper Kα. Structure: DFT lattice parameters and positions (GGA-PBE).
No peak broadening, texture or thermal motion is included.

Cell and atoms:
Cell lengths 5.0311, 5.0311, 5.0311 Å; angles 90.00, 90.00, 90.00 degrees
Space group Pm-3m (No. 221)
Symmetry-distinct sites (fractional):
Ta (0.0000, 0.0000, 0.0000) [1 per cell]
Al (0.5000, 0.5000, 0.5000) [1 per cell]
Ge (0.0000, 0.0000, 0.5000) [3 per cell]

Principal peaks in the range 2θ from 10° to 80°, in order of rising 2θ:
2θ 17.6, I = 100
2θ 25.0, I = 29
2θ 35.7, I = 64
2θ 40.1, I = 52
2θ 51.4, I = 45
2θ 54.7, I = 26
2θ 64.1, I = 15
2θ 78.4, I = 15

---

Entry 6:
This entry pairs a crystal structure of TaAlV2Ge with its theoretical X-ray diffraction stick pattern. Radiation: copper Kα. Structure: DFT lattice parameters and positions (GGA-PBE).
No peak broadening, texture or thermal motion is included.

Cell and atoms:
Cell lengths 4.5006, 4.5006, 4.4326 Å; angles 90.00, 90.00, 90.00 degrees
Space group P4/mmm (No. 123)
Symmetry-distinct sites (fractional):
Ta (0.0000, 0.0000, 0.0000) [1 per cell]
Al (0.5000, 0.5000, 0.0000) [1 per cell]
V (0.0000, 0.5000, 0.5000) [2 per cell]
Ge (0.5000, 0.5000, 0.5000) [1 per cell]

Principal peaks in the range 2θ from 10° to 80°, in order of rising 2θ:
2θ 28.0, I = 32
2θ 28.3, I = 100
2θ 34.7, I = 61
2θ 40.1, I = 56
2θ 40.7, I = 27
2θ 49.8, I = 43
2θ 58.0, I = 18
2θ 58.4, I = 36

---

Entry 7:
This entry pairs a crystal structure of TbAlGe2 with its theoretical X-ray diffraction stick pattern. Radiation: copper Kα. Structure: DFT lattice parameters and positions (GGA-PBE).
No peak broadening, texture or thermal motion is included.

Cell and atoms:
Cell lengths 4.4409, 4.4409, 4.0467 Å; angles 90.00, 90.00, 90.00 degrees
Space group P4/mmm (No. 123)
Symmetry-distinct sites (fractional):
Tb (0.0000, 0.0000, 0.0000) [1 per cell]
Al (0.5000, 0.5000, 0.0000) [1 per cell]
Ge (0.0000, 0.5000, 0.5000) [2 per cell]

Principal peaks in the range 2θ from 10° to 80°, in order of rising 2θ:
2θ 20.0, I = 33
2θ 29.9, I = 25
2θ 36.2, I = 100
2θ 40.6, I = 36
2θ 44.8, I = 14
2θ 62.1, I = 21
2θ 71.1, I = 27
2θ 76.9, I = 22

---

Entry 8:
This entry pairs a crystal structure of Tb4Al5Ge6 with its theoretical X-ray diffraction stick pattern. Radiation: copper Kα. Structure: DFT lattice parameters and positions (GGA-PBE).
No peak broadening, texture or thermal motion is included.

Cell and atoms:
Cell lengths 4.1526, 19.9512, 15.2408 Å; angles 90.00, 90.00, 90.00 degrees
Space group Cmc2_1 (No. 36)
Symmetry-distinct sites (fractional):
Tb (0.0000, 0.0140, 0.0000) [4 per cell]
Tb (0.0000, 0.0335, 0.2741) [4 per cell]
Tb (0.0000, 0.1686, 0.8148) [4 per cell]
Tb (0.0000, 0.1812, 0.4515) [4 per cell]
Al (0.0000, 0.1471, 0.1332) [4 per cell]
Al (0.0000, 0.3079, 0.1277) [4 per cell]
Al (0.0000, 0.3435, 0.7844) [4 per cell]
Al (0.0000, 0.3542, 0.4861) [4 per cell]
Al (0.0000, 0.4365, 0.1989) [4 per cell]
Ge (0.0000, 0.1059, 0.6220) [4 per cell]
Ge (0.0000, 0.2191, 0.0002) [4 per cell]
Ge (0.0000, 0.2292, 0.2634) [4 per cell]
Ge (0.0000, 0.4222, 0.9145) [4 per cell]
Ge (0.0000, 0.4344, 0.6324) [4 per cell]
Ge (0.0000, 0.4391, 0.3632) [4 per cell]

Principal peaks in the range 2θ from 10° to 80°, in order of rising 2θ:
2θ 11.6, I = 29
2θ 21.9, I = 29
2θ 29.5, I = 31
2θ 31.1, I = 50
2θ 32.2, I = 54
2θ 33.3, I = 29
2θ 35.9, I = 100
2θ 43.6, I = 45

---

Entry 9:
This entry pairs a crystal structure of Tb7Al2Ge2 with its theoretical X-ray diffraction stick pattern. Radiation: copper Kα. Structure: DFT lattice parameters and positions (GGA-PBE).
No peak broadening, texture or thermal motion is included.

Cell and atoms:
Cell lengths 7.9535, 10.8429, 7.1887 Å; angles 90.00, 90.00, 90.00 degrees
Space group Cmmm (No. 65)
Symmetry-distinct sites (fractional):
Tb (0.0000, 0.0000, 0.0000) [2 per cell]
Tb (0.0000, 0.5000, 0.2620) [4 per cell]
Tb (0.2500, 0.2500, 0.2774) [8 per cell]
Al (0.1673, 0.0000, 0.5000) [4 per cell]
Ge (0.0000, 0.2879, 0.0000) [4 per cell]

Principal peaks in the range 2θ from 10° to 80°, in order of rising 2θ:
2θ 25.6, I = 25
2θ 27.8, I = 100
2θ 28.5, I = 45
2θ 29.8, I = 24
2θ 33.0, I = 56
2θ 37.0, I = 42
2θ 37.6, I = 95
2θ 62.0, I = 29

---

Entry 10:
This entry pairs a crystal structure of Tb2Al3Ge4 with its theoretical X-ray diffraction stick pattern. Radiation: copper Kα. Structure: DFT lattice parameters and positions (GGA-PBE).
No peak broadening, texture or thermal motion is included.

Cell and atoms:
Cell lengths 6.0119, 14.7591, 7.9406 Å; angles 90.00, 90.00, 90.00 degrees
Space group Cmce (No. 64)
Symmetry-distinct sites (fractional):
Tb (0.0000, 0.1146, 0.0808) [8 per cell]
Al (0.0000, 0.0000, 0.5000) [4 per cell]
Al (0.2500, 0.2159, 0.7500) [8 per cell]
Ge (0.0000, 0.1854, 0.4469) [8 per cell]
Ge (0.2500, 0.0446, 0.7500) [8 per cell]

Principal peaks in the range 2θ from 10° to 80°, in order of rising 2θ:
2θ 19.5, I = 42
2θ 32.6, I = 51
2θ 34.1, I = 59
2θ 35.7, I = 100
2θ 36.0, I = 78
2θ 37.5, I = 73
2θ 38.6, I = 37
2θ 51.4, I = 28

---

Entry 11:
This entry pairs a crystal structure of TbAlZnGe2 with its theoretical X-ray diffraction stick pattern. Radiation: copper Kα. Structure: DFT lattice parameters and positions (GGA-PBE).
No peak broadening, texture or thermal motion is included.

Cell and atoms:
Cell lengths 11.6583, 4.1066, 8.6909 Å; angles 90.00, 93.81, 90.00 degrees
Space group C2/m (No. 12)
Symmetry-distinct sites (fractional):
Tb (0.1921, 0.0000, 0.2949) [4 per cell]
Al (0.0284, 0.5000, 0.7364) [4 per cell]
Zn (0.1639, 0.0000, 0.9039) [4 per cell]
Ge (0.1061, 0.0000, 0.6089) [4 per cell]
Ge (0.1143, 0.5000, 0.0523) [4 per cell]

Principal peaks in the range 2θ from 10° to 80°, in order of rising 2θ:
2θ 15.2, I = 37
2θ 25.4, I = 54
2θ 30.6, I = 40
2θ 31.8, I = 100
2θ 37.2, I = 38
2θ 38.4, I = 81
2θ 39.3, I = 56
2θ 44.1, I = 46

---

Entry 12:
This entry pairs a crystal structure of AlTc2Ge2 with its theoretical X-ray diffraction stick pattern. Radiation: copper Kα. Structure: DFT lattice parameters and positions (GGA-PBE).
No peak broadening, texture or thermal motion is included.

Cell and atoms:
Cell lengths 6.9285, 6.9285, 3.2275 Å; angles 90.00, 90.00, 90.00 degrees
Space group P4/mbm (No. 127)
Symmetry-distinct sites (fractional):
Al (0.0000, 0.0000, 0.0000) [2 per cell]
Tc (0.1489, 0.3511, 0.0000) [4 per cell]
Ge (0.1494, 0.6494, 0.5000) [4 per cell]

Principal peaks in the range 2θ from 10° to 80°, in order of rising 2θ:
2θ 18.1, I = 24
2θ 40.4, I = 100
2θ 41.2, I = 32
2θ 52.9, I = 11
2θ 56.3, I = 10
2θ 57.1, I = 9
2θ 62.3, I = 10
2θ 72.8, I = 12